Starting from a DFT-relaxed cell (GGA-PBE, Alexandria), the powder X-ray diffraction pattern of Er3Mg3Co was computed for Cu Kα X-rays.
Kinematic intensities with the Lorentz-polarization factor, no thermal factor.

```
Er3Mg3Co
1.0
0.0000 7.0239 7.0239
7.0239 0.0000 7.0239
7.0239 7.0239 0.0000
Er Mg Co
12 12 4
Cartesian
5.2679 5.2679 0.9637
5.2679 0.9637 5.2679
9.5722 5.2679 5.2679
8.7799 8.7799 4.4756
8.7799 4.4756 8.7799
13.0842 8.7799 8.7799
0.9637 5.2679 5.2679
5.2679 9.5722 5.2679
5.2679 5.2679 9.5722
4.4756 8.7799 8.7799
8.7799 13.0842 8.7799
8.7799 8.7799 13.0842
7.0239 3.5120 3.5120
4.1364 4.1364 4.1364
6.3995 6.3995 4.1364
6.3995 4.1364 6.3995
9.9114 7.6484 7.6484
3.5120 7.0239 3.5120
3.5120 3.5120 7.0239
7.0239 7.0239 7.0239
4.1364 6.3995 6.3995
7.6484 9.9114 7.6484
7.6484 7.6484 9.9114
9.9114 9.9114 9.9114
0.0000 0.0000 0.0000
3.5120 3.5120 0.0000
3.5120 0.0000 3.5120
0.0000 3.5120 3.5120
```

The 10 most intense peaks (2θ from 10° to 80°), by angle:
Position (°2θ), Rel. int.
10.91, 73
25.36, 34
27.68, 30
31.19, 74
33.14, 100
36.17, 45
46.15, 36
49.86, 22
53.38, 18
55.51, 68

---

Starting from a DFT-relaxed cell (GGA-PBE, Alexandria), the powder X-ray diffraction pattern of ErTmMgCo was computed for Cu Kα X-rays.
Kinematic intensities with the Lorentz-polarization factor, no thermal factor.

```
ErTmMgCo
1.0
3.3528 0.0000 0.0000
0.0000 3.3528 0.0000
0.0000 0.0000 8.0248
Er Tm Mg Co
1 1 1 1
Cartesian
0.0000 0.0000 0.0000
0.0000 0.0000 4.8166
1.6764 1.6764 2.4204
1.6764 1.6764 6.4080
```

The 10 most intense peaks (2θ from 10° to 80°), by angle:
Position (°2θ), Rel. int.
11.03, 58
22.15, 20
26.59, 47
34.87, 100
37.95, 55
43.27, 40
51.51, 14
54.76, 19
66.58, 30
72.23, 17

---

Starting from a DFT-relaxed cell (GGA-PBE, Alexandria), the powder X-ray diffraction pattern of Er2Mn2Co15 was computed for Cu Kα X-rays.
Kinematic intensities with the Lorentz-polarization factor, no thermal factor.

```
Er2Mn2Co15
1.0
4.1587 2.4010 4.0549
-4.1587 2.4010 4.0549
0.0000 -4.8020 4.0549
Er Mn Co
2 2 15
Cartesian
0.0000 0.0000 1.8475
0.0000 0.0000 10.3173
0.0000 0.0000 4.8076
0.0000 0.0000 7.3572
-2.0793 -1.2005 4.0549
0.0000 -2.4244 3.8645
-2.0996 1.2122 3.8645
-1.1999 -2.0782 6.0824
-2.3997 0.0000 6.0824
-2.0996 -1.2122 8.3004
-2.0793 1.2005 8.1099
1.1999 -2.0782 6.0824
0.0000 2.4010 4.0549
-1.1999 2.0782 6.0824
2.0996 1.2122 3.8645
2.3997 0.0000 6.0824
1.1999 2.0782 6.0824
2.0996 -1.2122 8.3004
0.0000 2.4244 8.3004
```

The 10 most intense peaks (2θ from 10° to 80°), by angle:
Position (°2θ), Rel. int.
30.80, 39
37.46, 42
38.75, 41
43.52, 67
43.82, 100
44.69, 58
49.25, 21
63.49, 28
64.15, 28
72.00, 17

---

Which formula does entry 2 have?
ErTmMgCo